# VSO5
Computed X-ray diffraction stick pattern, Cu Kα (weighted mean of Kα1 and Kα2). Input: a crystal structure in the Materials Project, relaxed with GGA+U.
Neutral-atom scattering factors, no anomalous dispersion.

Structure:
```
data_VSO5
_symmetry_space_group_name_H-M 'P 4/n'
_symmetry_Int_Tables_number 85
_cell_length_a 6.3755
_cell_length_b 6.3755
_cell_length_c 4.1900
_cell_angle_alpha 90.00
_cell_angle_beta 90.00
_cell_angle_gamma 90.00
loop_
_symmetry_equiv_pos_as_xyz
'x,y,z'
'-x,-y,-z'
'-y+1/2,x,z'
'y+1/2,-x,-z'
'-x+1/2,-y+1/2,z'
'x+1/2,y+1/2,-z'
'y,-x+1/2,z'
'-y,x+1/2,-z'
loop_
_atom_site_label
_atom_site_type_symbol
_atom_site_fract_x
_atom_site_fract_y
_atom_site_fract_z
_atom_site_occupancy
V1 V 0.2500 0.2500 0.1156 1
S1 S 0.2500 0.7500 0.0000 1
O1 O 0.0628 0.7335 0.7903 1
O2 O 0.2500 0.2500 0.7257 1
```

Main lines, in order of rising 2θ (10 to 90 degrees two-theta):
(hkl)  d/Å  I_rel
0 0 1  4.190  64
1 0 1  3.501  28
2 0 0  3.188  100
2 0 1  2.537  42
1 0 2  1.990  16
3 0 1  1.895  18
4 0 0  1.594  14
4 2 1  1.350  14